Entry 1:
The following is a theoretical XRD peak list of Na2CuP4O12. It was derived from DFT lattice parameters and positions (PBE), using Cu Kα X-rays.
Lines closer than 0.1° are merged.

Top 6 peaks for 2θ from 10° to 90°, sorted by position:
7.756 Å, 11.4°, I 63, (1 1 0)
5.333 Å, 16.6°, I 55, (1 1 1)
3.939 Å, 22.6°, I 74, (0 0 2)
3.586 Å, 24.8°, I 67, (2 2 -1)
3.376 Å, 26.4°, I 100, (0 4 0)
2.903 Å, 30.8°, I 64, (2 0 2)

Cell and atoms:
Cell: 9.5131 13.5027 7.9100 Å, 90.00 95.18 90.00°
Space group C2/c (No. 15)
Unique sites:
Na 0.1730 0.1435 0.1940 (multiplicity 8)
Cu 0.0000 0.3626 0.7500 (multiplicity 4)
P 0.1046 0.1557 0.6247 (multiplicity 8)
P 0.1382 0.4259 0.1765 (multiplicity 8)
O 0.0000 0.1041 0.7500 (multiplicity 4)
O 0.0000 0.3785 0.2500 (multiplicity 4)
O 0.0512 0.1376 0.4446 (multiplicity 8)
O 0.1228 0.4626 0.6602 (multiplicity 8)
O 0.1354 0.2611 0.6850 (multiplicity 8)
O 0.1732 0.3671 0.0268 (multiplicity 8)
O 0.2446 0.0903 0.6635 (multiplicity 8)

---

Entry 2:
The following is a theoretical XRD peak list of Na2CuP2O7. It was derived from DFT lattice parameters and positions (PBE), using Cu Kα X-rays.
Lines closer than 0.1° are merged.

Top 6 peaks for 2θ from 10° to 90°, sorted by position:
5.450 Å, 16.3°, I 100, (0 2 1)
4.486 Å, 19.8°, I 62, (0 0 2)
4.075 Å, 21.8°, I 33, (0 3 1)
2.970 Å, 30.1°, I 35, (1 2 -3)
2.741 Å, 32.7°, I 37, (1 4 0)
2.567 Å, 34.9°, I 35, (2 0 -2)

Cell and atoms:
Cell: 5.1419 13.7201 10.1181 Å, 90.00 117.52 90.00°
Space group P2_1/c (No. 14)
Unique sites:
Na 0.0820 0.1108 0.3670 (multiplicity 4)
Na 0.4178 0.2083 0.1529 (multiplicity 4)
Cu 0.0562 0.1559 0.7609 (multiplicity 4)
P 0.2736 0.6794 0.5446 (multiplicity 4)
P 0.4786 0.5371 0.7713 (multiplicity 4)
O 0.0690 0.6848 0.3793 (multiplicity 4)
O 0.1474 0.7257 0.6426 (multiplicity 4)
O 0.2381 0.5514 0.8213 (multiplicity 4)
O 0.2719 0.1137 0.6503 (multiplicity 4)
O 0.3274 0.5650 0.5926 (multiplicity 4)
O 0.4185 0.5665 0.2153 (multiplicity 4)
O 0.4199 0.2230 0.9145 (multiplicity 4)

---

Entry 3:
The following is a theoretical XRD peak list of Na2CuP2O7. It was derived from DFT lattice parameters and positions (PBE), using Cu Kα X-rays.
Lines closer than 0.1° are merged.

Top 6 peaks for 2θ from 10° to 90°, sorted by position:
4.727 Å, 18.8°, I 76, (1 1 -1)
3.558 Å, 25.0°, I 36, (3 1 0)
3.308 Å, 27.0°, I 83, (1 1 -2)
3.136 Å, 28.5°, I 100, (3 1 -2)
2.780 Å, 32.2°, I 35, (2 0 2)
2.205 Å, 40.9°, I 36, (4 2 0)

Cell and atoms:
Cell: 14.8398 5.8384 8.1330 Å, 90.00 114.86 90.00°
Space group C2/c (No. 15)
Unique sites:
Na 0.2282 0.1419 0.2995 (multiplicity 8)
Cu 0.0000 0.0000 0.0000 (multiplicity 4)
P 0.1048 0.3381 0.8438 (multiplicity 8)
O 0.0000 0.4765 0.7500 (multiplicity 4)
O 0.1020 0.2120 0.0085 (multiplicity 8)
O 0.1091 0.1677 0.7003 (multiplicity 8)
O 0.1876 0.4878 0.3984 (multiplicity 8)

---

Entry 4:
The following is a theoretical XRD peak list of Na2CuS2O10. It was derived from DFT lattice parameters and positions (PBE), using Cu Kα X-rays.
Lines closer than 0.1° are merged.

Top 6 peaks for 2θ from 10° to 90°, sorted by position:
6.425 Å, 13.8°, I 100, (0 2 0)
4.264 Å, 20.8°, I 62, (1 2 0)
3.879 Å, 22.9°, I 73, (1 2 -1)
3.250 Å, 27.4°, I 89, (0 3 1)
3.215 Å, 27.8°, I 80, (1 3 -1)
2.990 Å, 29.9°, I 94, (2 1 -1)

Cell and atoms:
Cell: 6.2460 12.8491 5.4664 Å, 90.00 114.10 90.00°
Space group P2_1/c (No. 14)
Unique sites:
Na 0.0789 0.1345 0.2212 (multiplicity 4)
Cu 0.5000 0.0000 0.0000 (multiplicity 2)
S 0.2622 0.6182 0.9681 (multiplicity 4)
O 0.0855 0.6964 0.9487 (multiplicity 4)
O 0.2052 0.5620 0.7139 (multiplicity 4)
O 0.2479 0.5359 0.1723 (multiplicity 4)
O 0.3567 0.1205 0.9850 (multiplicity 4)
O 0.4952 0.1597 0.4284 (multiplicity 4)

---

Entry 5:
The following is a theoretical XRD peak list of Na2Cu5TeS3O19. It was derived from DFT lattice parameters and positions (PBE), using Cu Kα X-rays.
Lines closer than 0.1° are merged.

Top 6 peaks for 2θ from 10° to 90°, sorted by position:
6.945 Å, 12.7°, I 100, (1 0 0)
3.645 Å, 24.4°, I 39, (1 2 1)
3.377 Å, 26.4°, I 45, (2 0 -2)
3.181 Å, 28.1°, I 50, (1 0 2)
3.150 Å, 28.3°, I 65, (2 2 -1)
2.458 Å, 36.6°, I 43, (1 4 -2)

Cell and atoms:
Cell: 7.4635 11.7665 9.2814 Å, 90.00 111.50 90.00°
Space group P2_1/m (No. 11)
Unique sites:
Na 0.0000 0.0000 0.0000 (multiplicity 2)
Na 0.0187 0.2500 0.4672 (multiplicity 2)
Cu 0.4501 0.6242 0.7136 (multiplicity 4)
Cu 0.4901 0.1328 0.7174 (multiplicity 4)
Cu 0.5000 0.0000 0.0000 (multiplicity 2)
Te 0.2131 0.2500 0.9201 (multiplicity 2)
S 0.1746 0.7500 0.9289 (multiplicity 2)
S 0.1916 0.5257 0.3873 (multiplicity 4)
O 0.0216 0.5542 0.2514 (multiplicity 4)
O 0.0408 0.2500 0.1103 (multiplicity 2)
O 0.1865 0.0863 0.4532 (multiplicity 4)
O 0.2148 0.7500 0.7830 (multiplicity 2)
O 0.2247 0.6182 0.5054 (multiplicity 4)
O 0.2557 0.6452 0.0198 (multiplicity 4)
O 0.3335 0.2500 0.7574 (multiplicity 2)
O 0.3571 0.1265 0.0470 (multiplicity 4)
O 0.3677 0.5187 0.3373 (multiplicity 4)
O 0.3847 0.0135 0.7888 (multiplicity 4)
O 0.4165 0.7500 0.3578 (multiplicity 2)
O 0.4526 0.2500 0.3393 (multiplicity 2)

---

Entry 6:
The following is a theoretical XRD peak list of Na2CuSe2O10. It was derived from DFT lattice parameters and positions (PBE), using Cu Kα X-rays.
Lines closer than 0.1° are merged.

Top 6 peaks for 2θ from 10° to 90°, sorted by position:
6.555 Å, 13.5°, I 39, (0 0 1)
5.267 Å, 16.8°, I 82, (0 1 -1)
4.109 Å, 21.6°, I 100, (-1 1 1)
3.314 Å, 26.9°, I 39, (1 0 -2)
3.171 Å, 28.1°, I 62, (1 -2 0)
3.033 Å, 29.4°, I 66, (1 1 0)

Cell and atoms:
Cell: 5.6041 6.5506 7.1798 Å, 102.31 103.64 113.20°
Space group P-1 (No. 2)
Unique sites:
Na 0.1632 0.2871 0.2372 (multiplicity 2)
Cu 0.5000 0.0000 0.5000 (multiplicity 1)
Se 0.1392 0.3511 0.7371 (multiplicity 2)
O 0.0781 0.1482 0.8558 (multiplicity 2)
O 0.1646 0.7471 0.4706 (multiplicity 2)
O 0.2099 0.6114 0.8859 (multiplicity 2)
O 0.3742 0.0149 0.2568 (multiplicity 2)
O 0.3736 0.3569 0.6309 (multiplicity 2)

---

Entry 7:
The following is a theoretical XRD peak list of Na2CuSi3O8. It was derived from DFT lattice parameters and positions (PBE), using Cu Kα X-rays.
Lines closer than 0.1° are merged.

Top 6 peaks for 2θ from 10° to 90°, sorted by position:
4.685 Å, 18.9°, I 80, (0 0 2)
4.592 Å, 19.3°, I 87, (1 0 -2)
3.400 Å, 26.2°, I 80, (1 1 2)
3.295 Å, 27.1°, I 74, (2 1 -2)
3.099 Å, 28.8°, I 100, (2 2 0)
2.305 Å, 39.1°, I 51, (3 2 0)

Cell and atoms:
Cell: 8.0128 10.4106 9.7303 Å, 90.00 105.66 90.00°
Space group P2_1/c (No. 14)
Unique sites:
Na 0.1966 0.0260 0.4594 (multiplicity 4)
Na 0.2056 0.0108 0.1290 (multiplicity 4)
Cu 0.0137 0.2282 0.6875 (multiplicity 4)
Si 0.1954 0.5228 0.3084 (multiplicity 4)
Si 0.3817 0.7288 0.8074 (multiplicity 4)
Si 0.3835 0.2167 0.8910 (multiplicity 4)
O 0.0713 0.6033 0.3841 (multiplicity 4)
O 0.1025 0.0558 0.6631 (multiplicity 4)
O 0.2106 0.6479 0.8101 (multiplicity 4)
O 0.2390 0.1909 0.2901 (multiplicity 4)
O 0.2982 0.0825 0.9321 (multiplicity 4)
O 0.3452 0.6177 0.2735 (multiplicity 4)
O 0.4587 0.6720 0.6785 (multiplicity 4)
O 0.4651 0.2063 0.5420 (multiplicity 4)

---

Entry 8:
The following is a theoretical XRD peak list of Na2Cu2Si4O11. It was derived from DFT lattice parameters and positions (PBE), using Cu Kα X-rays.
Lines closer than 0.1° are merged.

Top 6 peaks for 2θ from 10° to 90°, sorted by position:
8.219 Å, 10.8°, I 100, (0 0 1)
6.188 Å, 14.3°, I 19, (0 1 0)
4.638 Å, 19.1°, I 14, (0 1 1)
4.080 Å, 21.8°, I 23, (1 0 1)
3.672 Å, 24.2°, I 32, (0 1 -2)
2.997 Å, 29.8°, I 15, (1 0 2)

Cell and atoms:
Cell: 5.2462 6.3643 8.3612 Å, 96.69 96.77 100.80°
Space group P-1 (No. 2)
Unique sites:
Na 0.1315 0.1478 0.3048 (multiplicity 2)
Cu 0.2966 0.6114 0.5713 (multiplicity 2)
Si 0.0154 0.6347 0.1791 (multiplicity 2)
Si 0.4060 0.1561 0.6896 (multiplicity 2)
O 0.0000 0.5000 0.0000 (multiplicity 1)
O 0.0028 0.4770 0.3166 (multiplicity 2)
O 0.2214 0.2278 0.8273 (multiplicity 2)
O 0.2772 0.9123 0.6099 (multiplicity 2)
O 0.2915 0.8216 0.2151 (multiplicity 2)
O 0.4048 0.3263 0.5541 (multiplicity 2)